For PrPt, a cell relaxed with GGA-PBE gives the calculated X-ray powder pattern in this record (λ = 1.5418 Å (Cu Kα)).
Kinematic intensities with the Lorentz-polarization factor, no thermal factor.

The 8 most intense peaks (10° ≤ 2θ ≤ 80°), by angle:
| index | Position (°2θ) | I_rel |
| --- | --- | --- |
| 1 0 1 | 19.57 | 24 |
| 2 1 0 | 30.88 | 74 |
| 1 0 2 | 33.45 | 43 |
| 2 1 1 | 34.68 | 100 |
| 0 2 0 | 38.49 | 52 |
| 1 1 2 | 38.73 | 100 |
| 1 2 2 | 51.90 | 25 |
| 4 0 1 | 52.09 | 24 |

Cell and atoms:
```
PrPt
1.0
7.3752 0.0000 0.0000
0.0000 4.6773 0.0000
0.0000 0.0000 5.7513
Pr Pt
4 4
direct
0.1812 0.2500 0.1364
0.3188 0.7500 0.6364
0.6812 0.2500 0.3636
0.8188 0.7500 0.8636
0.0444 0.2500 0.6503
0.4556 0.7500 0.1503
0.5444 0.2500 0.8497
0.9556 0.7500 0.3497
```